Record 1
Structure and calculated X-ray powder pattern of Fe3CoBi4O12 (a crystal structure in the Materials Project, relaxed with GGA+U; Cu Kα).

Crystal structure
abc: 5.6557 5.7186 9.6826
angles: 73.92 75.67 62.41
Atoms (fractional coordinates):
Fe1 0.0000 0.0000 0.0000
Fe2 0.2568 0.2513 0.2525
Fe3 0.5403 0.4873 0.4961
Co1 0.7637 0.7194 0.7550
Bi1 0.1107 0.1968 0.6330
Bi2 0.2992 0.4555 0.8946
Bi3 0.5803 0.7319 0.1237
Bi4 0.8264 0.9301 0.4030
O1 0.1465 0.5958 0.1223
O2 0.1791 0.0798 0.1182
O3 0.2285 0.5229 0.6429
O4 0.3788 0.8175 0.8687
O5 0.4340 0.2891 0.3948
O6 0.4584 0.8204 0.3560
O7 0.6428 0.0928 0.1172
O8 0.7317 0.5820 0.6031
O9 0.7341 0.0350 0.6222
O10 0.8896 0.8027 0.8941
O11 0.9196 0.3376 0.8538
O12 0.9269 0.2885 0.3895

The 12 most intense peaks (10° ≤ 2θ ≤ 80°), low angle first:
d/Å, 2θ/deg, I/Imax
4.134, 21.49, 45.9
4.069, 21.84, 45.2
3.921, 22.68, 36.0
2.945, 30.35, 54.9
2.867, 31.20, 50.8
2.856, 31.32, 100.0
2.824, 31.69, 52.3
2.792, 32.06, 50.4
2.067, 43.79, 22.2
2.034, 44.53, 20.6
1.961, 46.31, 25.3
1.654, 55.58, 28.7



Record 2
Structure and calculated X-ray powder pattern of YFeW2O8 (a crystal structure in the Materials Project, relaxed with GGA+U; Cu Kα).

Crystal structure
abc: 5.2165 5.8472 10.0791
angles: 89.93 85.46 88.68
Atoms (fractional coordinates):
Y1 0.0000 0.0000 0.0000
Y2 0.4910 0.3669 0.5196
Fe1 0.4945 0.3728 0.9966
Fe2 0.9964 0.9926 0.5246
W1 0.0027 0.5173 0.7661
W2 0.4874 0.8497 0.7539
W3 0.4937 0.8527 0.2659
W4 0.9973 0.5145 0.2537
O1 0.1241 0.2921 0.6413
O2 0.1576 0.3213 0.1272
O3 0.1911 0.7966 0.1637
O4 0.2024 0.7632 0.6418
O5 0.2881 0.6037 0.8782
O6 0.2998 0.5710 0.3562
O7 0.3341 0.0459 0.3926
O8 0.3663 0.0755 0.8784
O9 0.6334 0.0577 0.1449
O10 0.6474 0.0517 0.6149
O11 0.6759 0.5689 0.6657
O12 0.7027 0.5893 0.1526
O13 0.7881 0.7770 0.3670
O14 0.8146 0.7988 0.8538
O15 0.8427 0.3154 0.9050
O16 0.8578 0.3092 0.3747

The 12 most intense peaks (10° ≤ 2θ ≤ 80°), low angle first:
d/Å, 2θ/deg, I/Imax
5.024, 17.65, 74.8
3.810, 23.35, 100.0
3.189, 27.98, 97.7
3.142, 28.41, 97.7
3.010, 29.68, 83.4
2.968, 30.11, 82.2
2.599, 34.50, 57.0
2.573, 34.87, 36.4
2.523, 35.58, 36.6
2.512, 35.75, 38.4
1.882, 48.36, 35.8
1.816, 50.23, 69.1



Record 3
Structure and calculated X-ray powder pattern of LiCr2O4 (a crystal structure in the Materials Project, relaxed with GGA+U; Cu Kα).

Crystal structure
abc: 8.9920 2.9396 10.3625
angles: 90.00 90.00 90.00
Atoms (fractional coordinates):
Li1 0.2424 0.2500 0.1313
Li2 0.2576 0.7500 0.6313
Li3 0.7423 0.2500 0.3687
Li4 0.7577 0.7500 0.8687
Cr1 0.0598 0.2500 0.3820
Cr2 0.0862 0.2500 0.8972
Cr3 0.4138 0.7500 0.3972
Cr4 0.4402 0.7500 0.8820
Cr5 0.5598 0.2500 0.1180
Cr6 0.5862 0.2500 0.6028
Cr7 0.9138 0.7500 0.1028
Cr8 0.9402 0.7500 0.6180
O1 0.0305 0.7500 0.7820
O2 0.0827 0.2500 0.5700
O3 0.1187 0.7500 0.0265
O4 0.1973 0.7500 0.3449
O5 0.3027 0.2500 0.8449
O6 0.3813 0.2500 0.5265
O7 0.4173 0.7500 0.0700
O8 0.4695 0.2500 0.2820
O9 0.5305 0.7500 0.7180
O10 0.5827 0.2500 0.9300
O11 0.6187 0.7500 0.4735
O12 0.6973 0.7500 0.1551
O13 0.8027 0.2500 0.6551
O14 0.8813 0.2500 0.9735
O15 0.9173 0.7500 0.4300
O16 0.9695 0.2500 0.2180

The 12 most intense peaks (10° ≤ 2θ ≤ 80°), low angle first:
d/Å, 2θ/deg, I/Imax
5.181, 17.11, 8.7
4.493, 19.76, 100.0
2.593, 34.59, 53.7
2.460, 36.53, 63.8
2.394, 37.57, 6.5
2.239, 40.29, 5.9
1.900, 47.88, 5.9
1.785, 51.18, 39.2
1.698, 54.00, 8.1
1.496, 62.02, 6.4
1.470, 63.26, 44.3
1.279, 74.16, 10.0



Record 4
Structure and calculated X-ray powder pattern of Li2FePCO7 (a crystal structure in the Materials Project, relaxed with GGA+U; Cu Kα).

Crystal structure
abc: 5.1115 6.4699 8.3417
angles: 90.00 96.49 90.00
Atoms (fractional coordinates):
Li1 0.2104 0.0000 0.0983
Li2 0.2709 0.2802 0.7270
Li3 0.7291 0.7802 0.2730
Li4 0.7896 0.5000 0.9017
Fe1 0.2027 0.4869 0.3298
Fe2 0.7973 0.9869 0.6702
P1 0.2628 0.9924 0.4169
P2 0.7372 0.4924 0.5831
C1 0.3256 0.4960 0.0475
C2 0.6744 0.9960 0.9525
O1 0.0776 0.4817 0.0747
O2 0.1308 0.0145 0.5724
O3 0.1517 0.8083 0.3092
O4 0.2075 0.1809 0.3031
O5 0.4037 0.4691 0.9104
O6 0.4351 0.4616 0.5389
O7 0.4886 0.5345 0.1772
O8 0.5114 0.0345 0.8228
O9 0.5649 0.9616 0.4611
O10 0.5963 0.9691 0.0896
O11 0.7925 0.6809 0.6969
O12 0.8483 0.3083 0.6908
O13 0.8692 0.5145 0.4276
O14 0.9224 0.9817 0.9253

The 12 most intense peaks (10° ≤ 2θ ≤ 80°), low angle first:
d/Å, 2θ/deg, I/Imax
8.288, 10.67, 82.9
5.100, 17.39, 40.4
4.566, 19.44, 48.4
4.128, 21.53, 81.1
3.480, 25.60, 22.5
3.405, 26.17, 35.5
3.235, 27.57, 100.0
2.759, 32.45, 21.4
2.549, 35.21, 30.3
2.509, 35.79, 25.4
2.183, 41.35, 25.0
1.984, 45.73, 22.6



Record 5
Structure and calculated X-ray powder pattern of VOF (a crystal structure in the Materials Project, relaxed with GGA+U; Cu Kα).

Crystal structure
abc: 5.2263 4.6750 5.7134
angles: 90.00 92.38 90.00
Atoms (fractional coordinates):
V1 0.2231 0.0185 0.3439
V2 0.2231 0.4815 0.8439
V3 0.7769 0.5185 0.1561
V4 0.7769 0.9815 0.6561
O1 0.0814 0.2200 0.6206
O2 0.0814 0.2800 0.1206
O3 0.9186 0.7200 0.8794
O4 0.9186 0.7800 0.3794
F1 0.4176 0.7312 0.1124
F2 0.4176 0.7688 0.6124
F3 0.5824 0.2312 0.3876
F4 0.5824 0.2688 0.8876

The 12 most intense peaks (10° ≤ 2θ ≤ 80°), low angle first:
d/Å, 2θ/deg, I/Imax
3.617, 24.61, 92.6
3.011, 29.67, 63.1
2.937, 30.43, 100.0
2.549, 35.20, 18.6
2.279, 39.53, 24.9
2.238, 40.29, 24.3
2.144, 42.15, 27.6
1.762, 51.88, 27.2
1.741, 52.55, 40.6
1.723, 53.16, 35.1
1.695, 54.10, 30.2
1.514, 61.21, 19.2